For NbWO7, a structure optimized by DFT (GGA+U) gives the calculated X-ray diffraction stick pattern in this record (Cu Kα, 1.54184 Å).
Intensities are scaled so that the largest is 100.

Principal peaks in the range 2θ from 10° to 90°, in order of rising 2θ:
2theta, intensity
14.33, 100
14.61, 42
27.67, 12
27.86, 17
28.11, 31
28.89, 40
29.46, 36
33.81, 23
48.59, 19
57.15, 11

Structural model:
```
data_NbWO7
_chemical_formula_sum 'Nb2 W2 O14'
_cell_length_a 7.4962
_cell_length_b 7.4962
_cell_length_c 7.4962
_cell_angle_alpha 118.99
_cell_angle_beta 90.14
_cell_angle_gamma 120.86
_symmetry_space_group_name_H-M 'P 1'
_symmetry_Int_Tables_number 1
_symmetry_space_group_name_Hall 'P 1'
loop_
_atom_site_label
_atom_site_type_symbol
_atom_site_fract_x
_atom_site_fract_y
_atom_site_fract_z
Nb1 Nb 0.0000 0.0000 0.0000
Nb2 Nb 0.0000 0.5000 0.5000
W1 W 0.4831 0.4698 0.5132
W2 W 0.9566 0.9698 0.4868
O1 O 0.0375 0.7212 0.8162
O2 O 0.0390 0.0873 0.7985
O3 O 0.0390 0.7405 0.4517
O4 O 0.2771 0.2222 0.5549
O5 O 0.2888 0.2405 0.2015
O6 O 0.2888 0.5873 0.5483
O7 O 0.5800 0.0006 0.0793
O8 O 0.6614 0.3553 0.4417
O9 O 0.6614 0.7197 0.8061
O10 O 0.6672 0.7222 0.4451
O11 O 0.9050 0.2212 0.1838
O12 O 0.9137 0.2197 0.5583
O13 O 0.9137 0.8553 0.1939
O14 O 0.9213 0.5006 0.9207
```